# Sm2ZnSi3
Calculated X-ray diffraction stick pattern, CuKα. Input: DFT lattice parameters and positions (PBE).
No peak broadening, texture or thermal motion is included.

The 12 most intense peaks (2θ from 10° to 90°), sorted by position:
22.2 deg, 4.000 Å, rel. 19, (0 1 1)
25.4 deg, 3.506 Å, rel. 16, (0 0 4)
28.7 deg, 3.113 Å, rel. 15, (0 1 3)
28.9 deg, 3.087 Å, rel. 34, (1 0 3)
33.2 deg, 2.702 Å, rel. 100, (1 1 2)
38.7 deg, 2.328 Å, rel. 28, (0 1 5)
38.9 deg, 2.317 Å, rel. 17, (1 0 5)
43.4 deg, 2.087 Å, rel. 17, (0 2 0)
44.1 deg, 2.056 Å, rel. 16, (2 0 0)
53.0 deg, 1.729 Å, rel. 13, (1 2 3)
60.0 deg, 1.541 Å, rel. 15, (2 1 5)
63.5 deg, 1.464 Å, rel. 11, (2 2 0)

Cell and atoms:
```
data_Sm2ZnSi3
_cell_length_a 4.1110
_cell_length_b 4.1731
_cell_length_c 14.0234
_cell_angle_alpha 90.00
_cell_angle_beta 90.00
_cell_angle_gamma 90.00
_symmetry_space_group_name_H-M 'I m m 2'
_symmetry_Int_Tables_number 44
_symmetry_space_group_name_Hall 'I 2 -2'
loop_
_atom_site_label
_atom_site_type_symbol
_atom_site_fract_x
_atom_site_fract_y
_atom_site_fract_z
Sm1 Sm 0.0000 0.0000 0.0000
Sm2 Sm 0.0000 0.5000 0.2586
Zn1 Zn 0.0000 0.0000 0.5904
Si1 Si 0.0000 0.0000 0.4222
Si2 Si 0.0000 0.5000 0.6712
Si3 Si 0.0000 0.5000 0.8377
```